# 1
This entry pairs a crystal structure of YZn2AsO2 with its computed powder diffractogram. Radiation: copper Kα. Structure: DFT lattice parameters and positions (GGA-PBE).
Kinematic intensities with the Lorentz-polarization factor, no thermal factor.

Structure:
abc: 3.4026 3.4026 12.5125
angles: 90.00 90.00 90.00
Atoms (fractional coordinates):
Y 0.0000 0.0000 0.0000
Zn 0.0000 0.0000 0.3067
Zn 0.0000 0.0000 0.6933
As 0.0000 0.0000 0.5000
O 0.0000 0.0000 0.1649
O 0.0000 0.0000 0.8351

Principal peaks in the range 15° ≤ 2θ ≤ 90°, most intense first:
2theta  intensity
26.19  100
37.38  38
51.39  19
60.88  17
39.12  17
58.58  14
43.40  13
53.89  12
77.68  10
28.53  10

# 2
This entry pairs a crystal structure of BaZnTe2O7 with its computed powder diffractogram. Radiation: copper Kα. Structure: DFT lattice parameters and positions (GGA-PBE).
Kinematic intensities with the Lorentz-polarization factor, no thermal factor.

Structure:
abc: 5.6345 8.6788 8.6788
angles: 129.47 90.00 90.00
Atoms (fractional coordinates):
Ba 0.2500 0.2104 0.7896
Ba 0.7500 0.7896 0.2104
Zn 0.2500 0.5966 0.3680
Zn 0.7500 0.3680 0.5966
Te 0.2500 0.1614 0.3160
Te 0.2500 0.6809 0.8281
Te 0.7500 0.3160 0.1614
Te 0.7500 0.8281 0.6809
O 0.0000 0.1268 0.1268
O 0.0065 0.1526 0.4642
O 0.0069 0.8348 0.5467
O 0.2500 0.4518 0.4839
O 0.2500 0.8640 0.1327
O 0.4931 0.8348 0.5467
O 0.4935 0.1526 0.4642
O 0.5000 0.1268 0.1268
O 0.5065 0.4642 0.1526
O 0.5069 0.5467 0.8348
O 0.7500 0.1327 0.8640
O 0.7500 0.4839 0.4518
O 0.9931 0.5467 0.8348
O 0.9935 0.4642 0.1526

Principal peaks in the range 15° ≤ 2θ ≤ 90°, most intense first:
2theta  intensity
31.06  100
27.70  74
26.17  48
31.76  39
26.61  37
41.90  28
55.44  20
56.14  19
57.39  18
59.75  17

# 3
This entry pairs a crystal structure of K2NbAgS2 with its computed powder diffractogram. Radiation: copper Kα. Structure: DFT lattice parameters and positions (GGA-PBE).
Kinematic intensities with the Lorentz-polarization factor, no thermal factor.

Structure:
abc: 22.1545 21.9550 6.1578
angles: 83.82 80.14 16.04
Atoms (fractional coordinates):
K 0.0093 0.6330 0.6488
K 0.2089 0.6488 0.6330
K 0.3512 0.7911 0.9907
K 0.3670 0.9907 0.7911
K 0.6330 0.0093 0.2089
K 0.6488 0.2089 0.0093
K 0.7911 0.3512 0.3670
K 0.9907 0.3670 0.3512
Nb 0.0000 0.0000 0.0000
Nb 0.0000 0.0000 0.5000
Nb 0.0000 0.5000 0.0000
Nb 0.5000 0.0000 0.0000
Ag 0.0000 0.5000 0.5000
Ag 0.5000 0.0000 0.5000
Ag 0.5000 0.5000 0.0000
Ag 0.5000 0.5000 0.5000
S 0.1696 0.4072 0.1969
S 0.1969 0.7264 0.1696
S 0.2736 0.8031 0.5928
S 0.4072 0.1696 0.7264
S 0.5928 0.8304 0.2736
S 0.7264 0.1969 0.4072
S 0.8031 0.2736 0.8304
S 0.8304 0.5928 0.8031

Principal peaks in the range 15° ≤ 2θ ≤ 90°, most intense first:
2theta  intensity
32.37  100
36.50  91
30.13  90
42.02  64
50.71  42
24.71  41
48.59  36
40.91  33
16.40  33
38.16  31